Structure and computed powder XRD pattern of KVH6SO9 (the GGA+U geometry in Alexandria; copper Kα).

Peak list (12 most intense, 10° ≤ 2θ ≤ 90°, sorted by position)
| hkl | 2θ/deg | I/Imax |
| --- | --- | --- |
| 0 0 1 | 14.06 | 30 |
| 0 1 1 | 16.67 | 100 |
| 0 2 0 | 17.89 | 82 |
| 0 2 1 | 22.82 | 24 |
| 1 1 1 | 24.95 | 28 |
| 2 0 -1 | 28.96 | 24 |
| 0 1 2 | 29.76 | 27 |
| 2 1 -1 | 30.36 | 46 |
| 0 3 1 | 30.54 | 69 |
| 2 1 0 | 31.13 | 38 |
| 2 2 -2 | 39.33 | 29 |
| 1 2 2 | 40.35 | 24 |

Atomic structure:
```
data_KVH6SO9
_chemical_formula_sum 'K2 V2 H12 S2 O18'
_cell_length_a 6.2780
_cell_length_b 9.9153
_cell_length_c 6.5894
_cell_angle_alpha 90.00
_cell_angle_beta 107.03
_cell_angle_gamma 90.00
_space_group_name_H-M_alt 'P 1 21 1'
_space_group_IT_number 4
_space_group_name_Hall 'P 2yb'
loop_
_atom_site_label
_atom_site_type_symbol
_atom_site_fract_x
_atom_site_fract_y
_atom_site_fract_z
K1 K 0.1949 0.0000 0.1833
V1 V 0.1188 0.3502 0.3825
H1 H 0.0314 0.1145 0.6588
H2 H 0.1914 0.6149 0.2601
H3 H 0.2688 0.5625 0.6969
H4 H 0.3100 0.4292 0.8267
H5 H 0.3885 0.6948 0.0715
H6 H 0.4700 0.2011 0.6910
S1 S 0.4176 0.8509 0.7327
O1 O 0.0443 0.2899 0.1390
O2 O 0.0628 0.5575 0.2767
O3 O 0.1827 0.2112 0.5374
O4 O 0.1863 0.8785 0.5835
O5 O 0.2076 0.4706 0.6985
O6 O 0.3756 0.7107 0.2143
O7 O 0.4355 0.3968 0.4008
O8 O 0.4455 0.7054 0.7795
O9 O 0.4596 0.9329 0.9245
```